For Fe2NiB, a structure optimized by DFT (PBE) gives the theoretical powder XRD pattern in this record (Cu Ka).
No peak broadening, texture or thermal motion is included.

Structure:
Cell: 5.3330 6.6185 4.4035 Å, 90.00 90.00 90.00°
Fractional coordinates of all 16 atoms:
Fe 0.1808 0.0607 0.1467
Fe 0.1808 0.4393 0.1467
Fe 0.3192 0.5607 0.6467
Fe 0.3192 0.9393 0.6467
Fe 0.6808 0.0607 0.3533
Fe 0.6808 0.4393 0.3533
Fe 0.8192 0.5607 0.8533
Fe 0.8192 0.9393 0.8533
Ni 0.0302 0.2500 0.6334
Ni 0.4698 0.7500 0.1334
Ni 0.5302 0.2500 0.8666
Ni 0.9698 0.7500 0.3666
B 0.1225 0.7500 0.9442
B 0.3775 0.2500 0.4442
B 0.6225 0.7500 0.5558
B 0.8775 0.2500 0.0558

Top 10 peaks for 10 to 90 degrees two-theta, sorted by position:
| 2theta | I (rel.) | index |
| --- | --- | --- |
| 37.97 | 73 | 1 2 1 |
| 41.89 | 70 | 2 1 1 |
| 43.59 | 92 | 2 2 0 |
| 44.52 | 80 | 1 0 2 |
| 46.01 | 100 | 0 3 1 |
| 46.70 | 80 | 1 1 2 |
| 48.47 | 51 | 2 2 1 |
| 49.26 | 48 | 1 3 1 |
| 55.77 | 38 | 3 0 1 |
| 82.27 | 42 | 3 3 2 |